No. 1
For SmFe9Ge4, a DFT-relaxed cell (GGA-PBE, Alexandria) gives the computed XRD peak list in this record (Cu Ka).
Neutral-atom scattering factors, no anomalous dispersion.

Crystal structure
Cell lengths 8.0566, 8.0566, 11.8311 Å; angles 90.00, 90.00, 90.00 degrees
Space group I4/mcm (No. 140)
Unique sites:
Sm  0.0000  0.0000  0.2500 x4
Fe  0.0000  0.5000  0.0000 x4
Fe  0.0630  0.2002  0.0000 x16
Fe  0.1128  0.3872  0.1752 x16
Ge  0.1814  0.3186  0.3725 x16

Main lines, by angle (2θ = 10–80°):
hkl 1 1 4, 2θ = 34.16°, d 2.625, I 37.5; hkl 2 2 2, 2θ = 34.96°, d 2.566, I 30.0; hkl 3 1 0, 2θ = 35.23°, d 2.548, I 29.3; hkl 2 0 4, 2θ = 37.73°, d 2.384, I 65.5; hkl 3 1 2, 2θ = 38.47°, d 2.340, I 100.0; hkl 2 1 5, 2θ = 45.88°, d 1.978, I 44.4; hkl 3 2 3, 2θ = 46.72°, d 1.944, I 59.8; hkl 4 1 1, 2θ = 47.13°, d 1.928, I 70.0; hkl 4 0 4, 2θ = 55.17°, d 1.665, I 18.5; hkl 4 1 7, 2θ = 74.18°, d 1.278, I 16.4

No. 2
For SmFeGe4, a DFT-relaxed cell (GGA-PBE, Alexandria) gives the computed XRD peak list in this record (Cu Ka).
Neutral-atom scattering factors, no anomalous dispersion.

Crystal structure
Cell lengths 11.1818, 6.1678, 6.7714 Å; angles 90.00, 97.37, 90.00 degrees
Space group C2/c (No. 15)
Unique sites:
Sm  0.0000  0.1075  0.2500 x4
Fe  0.2500  0.2500  0.0000 x4
Ge  0.0601  0.3806  0.9093 x8
Ge  0.2436  0.1142  0.6484 x8

Main lines, by angle (2θ = 10–80°):
hkl 2 0 -2, 2θ = 29.27°, d 3.051, I 16.3; hkl 4 0 0, 2θ = 32.28°, d 2.773, I 100.0; hkl 3 1 1, 2θ = 32.53°, d 2.753, I 15.0; hkl 2 2 -1, 2θ = 35.10°, d 2.557, I 86.8; hkl 2 2 1, 2θ = 36.72°, d 2.447, I 33.0; hkl 4 0 -2, 2θ = 39.41°, d 2.287, I 15.1; hkl 1 1 -3, 2θ = 42.76°, d 2.115, I 32.1; hkl 3 1 3, 2θ = 52.58°, d 1.741, I 13.5; hkl 3 3 1, 2θ = 53.62°, d 1.709, I 16.9; hkl 5 1 2, 2θ = 54.50°, d 1.684, I 13.4

No. 3
For Sr2FeGe, a DFT-relaxed cell (GGA-PBE, Alexandria) gives the computed XRD peak list in this record (Cu Ka).
Neutral-atom scattering factors, no anomalous dispersion.

Crystal structure
Cell lengths 8.4816, 8.4816, 6.5894 Å; angles 90.00, 90.00, 90.00 degrees
Space group I-42d (No. 122)
Unique sites:
Sr  0.2487  0.7500  0.1250 x8
Fe  0.0000  0.0000  0.0000 x4
Ge  0.0000  0.0000  0.5000 x4

Main lines, by angle (2θ = 10–80°):
hkl 2 2 0, 2θ = 29.79°, d 2.999, I 100.0; hkl 1 1 2, 2θ = 30.97°, d 2.888, I 91.9; hkl 4 0 0, 2θ = 42.64°, d 2.120, I 36.9; hkl 3 1 2, 2θ = 43.51°, d 2.080, I 70.8; hkl 3 3 2, 2θ = 53.62°, d 1.709, I 18.8; hkl 2 0 4, 2θ = 60.27°, d 1.536, I 25.7; hkl 5 1 2, 2θ = 62.56°, d 1.485, I 23.4; hkl 6 2 0, 2θ = 70.18°, d 1.341, I 16.3; hkl 5 3 2, 2θ = 70.81°, d 1.331, I 16.1; hkl 4 2 4, 2θ = 76.61°, d 1.244, I 25.3

No. 4
For Ta3FeGe2, a DFT-relaxed cell (GGA-PBE, Alexandria) gives the computed XRD peak list in this record (Cu Ka).
Neutral-atom scattering factors, no anomalous dispersion.

Crystal structure
Cell lengths 10.5766, 3.6934, 10.0515 Å; angles 90.00, 90.00, 90.00 degrees
Space group Pnma (No. 62)
Unique sites:
Ta  0.0642  0.2500  0.1085 x4
Ta  0.1241  0.7500  0.5451 x4
Ta  0.2447  0.7500  0.2572 x4
Fe  0.1124  0.2500  0.3723 x4
Ge  0.0099  0.2500  0.7058 x4
Ge  0.1864  0.7500  0.9735 x4

Main lines, by angle (2θ = 10–80°):
hkl 2 1 1, 2θ = 30.84°, d 2.899, I 28.4; hkl 3 0 2, 2θ = 30.98°, d 2.886, I 19.4; hkl 2 1 2, 2θ = 34.58°, d 2.594, I 19.1; hkl 0 1 3, 2θ = 36.20°, d 2.482, I 100.0; hkl 3 1 1, 2θ = 36.34°, d 2.472, I 30.2; hkl 4 0 2, 2θ = 38.47°, d 2.340, I 36.3; hkl 2 0 4, 2θ = 39.68°, d 2.271, I 33.5; hkl 4 1 1, 2θ = 43.02°, d 2.102, I 40.8; hkl 2 1 4, 2θ = 46.99°, d 1.934, I 24.4; hkl 0 2 0, 2θ = 49.35°, d 1.847, I 32.4